Computed X-ray powder pattern of KHf2Cr2O7 for λ = 1.5418 Å (Cu Kα), from a crystal structure in Alexandria, relaxed with GGA+U.

Principal peaks in the range 2θ = 15–90°, most intense first:
- 33.3°, intensity 100.0, hkl 0 1 5
- 21.7°, intensity 80.1, hkl 0 1 1
- 21.8°, intensity 79.8, hkl 1 0 1
- 36.6°, intensity 63.6, hkl 1 1 4
- 26.2°, intensity 46.2, hkl 1 0 3
- 26.1°, intensity 46.0, hkl 0 1 3
- 30.1°, intensity 43.5, hkl 1 1 0
- 42.9°, intensity 43.2, hkl 0 2 0

Cell lengths 4.1890, 4.2166, 17.4816 Å; angles 90.00, 90.00, 90.00 degrees
Space group Immm (No. 71)
Asymmetric unit:
K (0.0000, 0.0000, 0.0000)
Hf (0.0000, 0.0000, 0.3849)
Cr (0.0000, 0.5000, 0.2506)
O (0.0000, 0.0000, 0.2602)
O (0.0000, 0.0000, 0.5000)
O (0.0000, 0.5000, 0.1314)
O (0.0000, 0.5000, 0.3697)